(1)
Starting from a cell relaxed with PBE, the powder X-ray diffraction pattern of Sc8CuTe3 was calculated for a wavelength of 1.5418 Å.

Structural model:
Cell: 10.7554 3.8508 20.1857 Å, 90.00 90.24 90.00°
Atoms (fractional coordinates):
Sc  0.0000  0.0000  0.0000
Sc  0.0071  0.5000  0.4700
Sc  0.0790  0.0000  0.3567
Sc  0.1430  0.5000  0.7332
Sc  0.1517  0.5000  0.2354
Sc  0.2338  0.0000  0.8557
Sc  0.2745  0.0000  0.4873
Sc  0.2862  0.5000  0.9737
Sc  0.3318  0.0000  0.1028
Sc  0.3592  0.0000  0.3095
Sc  0.4333  0.5000  0.6191
Sc  0.4614  0.5000  0.8258
Sc  0.5041  0.0000  0.9562
Sc  0.5182  0.5000  0.4409
Sc  0.5738  0.5000  0.0723
Sc  0.6419  0.0000  0.6941
Sc  0.6506  0.0000  0.1958
Sc  0.7121  0.5000  0.5711
Sc  0.7666  0.5000  0.9417
Sc  0.7867  0.0000  0.4580
Sc  0.8314  0.5000  0.3266
Sc  0.8566  0.5000  0.1215
Sc  0.9250  0.0000  0.8019
Sc  0.9619  0.0000  0.6008
Cu  0.2533  0.5000  0.3877
Cu  0.5381  0.0000  0.5403
Cu  0.7481  0.0000  0.0432
Te  0.0374  0.5000  0.8917
Te  0.1236  0.5000  0.0913
Te  0.1688  0.5000  0.5885
Te  0.3604  0.0000  0.7261
Te  0.4339  0.5000  0.2016
Te  0.6241  0.0000  0.3401
Te  0.6698  0.0000  0.8398
Te  0.8572  0.5000  0.6986
Te  0.9343  0.0000  0.2282

Main lines, by angle (2θ = 10–90°):
| 2θ (°) | I/Imax |
| --- | --- |
| 24.55 | 27 |
| 33.21 | 100 |
| 34.17 | 44 |
| 35.40 | 35 |
| 35.58 | 25 |
| 36.31 | 36 |
| 36.76 | 41 |
| 39.26 | 27 |
| 41.95 | 27 |
| 47.21 | 45 |

---

(2)
Starting from a cell relaxed with PBE, the powder X-ray diffraction pattern of Na2PaO4 was calculated for a wavelength of 1.5418 Å.

Structural model:
Cell: 5.8316 9.9820 3.5755 Å, 90.00 90.00 90.00°
Atoms (fractional coordinates):
Na  0.0520  0.1846  0.0000
Na  0.4480  0.6846  0.0000
Na  0.5520  0.3154  0.0000
Na  0.9480  0.8154  0.0000
Pa  0.0000  0.5000  0.5000
Pa  0.5000  0.0000  0.5000
O  0.1551  0.6791  0.5000
O  0.2100  0.4418  0.0000
O  0.2900  0.9418  0.0000
O  0.3449  0.1791  0.5000
O  0.6551  0.8209  0.5000
O  0.7100  0.0582  0.0000
O  0.7900  0.5582  0.0000
O  0.8449  0.3209  0.5000

Main lines, by angle (2θ = 10–90°):
| 2θ (°) | I/Imax |
| --- | --- |
| 17.61 | 100 |
| 17.77 | 37 |
| 24.90 | 14 |
| 30.69 | 100 |
| 30.94 | 34 |
| 40.12 | 14 |
| 43.99 | 31 |
| 54.50 | 28 |
| 54.98 | 16 |
| 60.96 | 19 |

---

(3)
Starting from a cell relaxed with PBE, the powder X-ray diffraction pattern of SrCaMn2Tl was calculated for a wavelength of 1.5418 Å.

Structural model:
Cell: 5.4417 5.4417 5.9582 Å, 90.00 90.00 90.00°
Atoms (fractional coordinates):
Sr  0.0000  0.0000  0.0000
Ca  0.5000  0.5000  0.5000
Mn  0.0000  0.5000  0.0000
Mn  0.5000  0.0000  0.0000
Tl  0.0000  0.0000  0.5000

Main lines, by angle (2θ = 10–90°):
| 2θ (°) | I/Imax |
| --- | --- |
| 16.29 | 100 |
| 23.11 | 35 |
| 27.60 | 70 |
| 29.99 | 39 |
| 32.92 | 61 |
| 34.32 | 33 |
| 36.94 | 27 |
| 45.13 | 50 |
| 48.29 | 26 |
| 56.98 | 24 |

---

(4)
Starting from a cell relaxed with PBE, the powder X-ray diffraction pattern of Ac8Sn3Ge was calculated for a wavelength of 1.5418 Å.

Structural model:
Cell: 9.6396 9.6396 9.6396 Å, 131.89 131.89 70.41°
Atoms (fractional coordinates):
Ac  0.1231  0.1231  0.4904
Ac  0.1231  0.6327  0.0000
Ac  0.3673  0.3673  0.4904
Ac  0.3673  0.8769  0.0000
Ac  0.6327  0.1231  0.0000
Ac  0.6327  0.6327  0.5096
Ac  0.8769  0.3673  0.0000
Ac  0.8769  0.8769  0.5096
Sn  0.2500  0.7500  0.5000
Sn  0.5000  0.5000  0.0000
Sn  0.7500  0.2500  0.5000
Ge  0.0000  0.0000  0.0000

Main lines, by angle (2θ = 10–90°):
| 2θ (°) | I/Imax |
| --- | --- |
| 19.55 | 9 |
| 22.61 | 43 |
| 32.19 | 100 |
| 39.70 | 14 |
| 46.20 | 12 |
| 52.00 | 19 |
| 57.40 | 39 |
| 67.35 | 12 |
| 72.06 | 8 |
| 76.68 | 11 |

---

(5)
Starting from a cell relaxed with PBE, the powder X-ray diffraction pattern of La7Sm3Mg was calculated for a wavelength of 1.5418 Å.

Structural model:
Cell: 7.2496 7.2496 8.8022 Å, 90.00 90.00 120.00°
Atoms (fractional coordinates):
La  0.0000  0.0000  0.0000
La  0.0002  0.5001  0.0063
La  0.1651  0.3302  0.6664
La  0.1651  0.8349  0.6664
La  0.4999  0.9998  0.0063
La  0.4999  0.5001  0.0063
La  0.6698  0.8349  0.6664
Sm  0.3306  0.1653  0.3359
Sm  0.8347  0.1653  0.3359
Sm  0.8347  0.6694  0.3359
Mg  0.6667  0.3333  0.6704

Main lines, by angle (2θ = 10–90°):
| 2θ (°) | I/Imax |
| --- | --- |
| 17.35 | 15 |
| 30.23 | 100 |
| 30.47 | 32 |
| 35.11 | 67 |
| 50.35 | 24 |
| 50.66 | 24 |
| 59.86 | 14 |
| 60.00 | 28 |
| 60.27 | 14 |
| 62.86 | 12 |

---

(6)
Starting from a cell relaxed with PBE, the powder X-ray diffraction pattern of AcTb5Nd8 was calculated for a wavelength of 1.5418 Å.

Structural model:
Cell: 8.6867 8.6867 8.6867 Å, 111.47 111.47 105.55°
Atoms (fractional coordinates):
Ac  0.0000  0.0000  0.0000
Tb  0.0266  0.4360  0.8197
Tb  0.2500  0.7500  0.5000
Tb  0.5640  0.3836  0.5906
Tb  0.6164  0.2070  0.1803
Tb  0.7930  0.9734  0.4094
Nd  0.0923  0.3316  0.4232
Nd  0.2824  0.1784  0.7520
Nd  0.3308  0.9077  0.2393
Nd  0.4263  0.5304  0.2480
Nd  0.4696  0.7176  0.8959
Nd  0.6684  0.0916  0.7607
Nd  0.8216  0.5737  0.1041
Nd  0.9084  0.6692  0.5768

Main lines, by angle (2θ = 10–90°):
| 2θ (°) | I/Imax |
| --- | --- |
| 22.01 | 21 |
| 27.03 | 62 |
| 28.67 | 75 |
| 28.86 | 73 |
| 30.95 | 24 |
| 32.75 | 100 |
| 33.62 | 49 |
| 34.13 | 59 |
| 54.59 | 20 |
| 60.76 | 22 |